Structure and theoretical powder diffraction line list of MgMn2O3 (a DFT-relaxed cell (GGA+U, Alexandria); CuKα).

Structure:
Lattice parameters (Å, degrees): 3.1291 3.1291 7.6946 90.00 90.00 120.00
Space group P-3m1 (No. 164)
Asymmetric unit:
Mg1 0.0000 0.0000 0.0000
Mn1 0.3333 0.6667 0.6719
O1 0.0000 0.0000 0.5000
O2 0.3333 0.6667 0.1544

Largest 10 diffraction maxima, by intensity, 2θ = 10–80°:
d/Å, I/Imax
2.215, 100
2.556, 40
1.569, 29
1.565, 28
1.335, 15
7.695, 13
1.278, 13
2.565, 12
2.710, 5
1.338, 5